Diffraction record for ErAgSnS3. The XRD peak list is computed, not measured: it uses a structure optimized by DFT (GGA-PBE) and λ = 1.5418 Å (Cu Kα).
Neutral-atom scattering factors, no anomalous dispersion.

```
data_ErAgSnS3
_chemical_formula_sum 'Er4 Ag4 Sn4 S12'
_space_group_name_H-M_alt 'C 1 2/m 1'
_space_group_IT_number 12
_cell_length_a 17.2270
_cell_length_b 3.8904
_cell_length_c 8.3313
_cell_angle_alpha 90.00
_cell_angle_beta 104.16
_cell_angle_gamma 90.00
loop_
_space_group_symop_operation_xyz
'x,y,z'
'-x,-y,-z'
'-x,y,-z'
'x,-y,z'
'x+1/2,y+1/2,z'
'-x+1/2,-y+1/2,-z'
'-x+1/2,y+1/2,-z'
'x+1/2,-y+1/2,z'
loop_
_atom_site_label
_atom_site_type_symbol
_atom_site_fract_x
_atom_site_fract_y
_atom_site_fract_z
Er1 Er 0.1643 0.0000 0.0880
Ag1 Ag 0.0267 0.5000 0.2161
Sn1 Sn 0.1331 0.0000 0.5767
S1 S 0.0000 0.0000 0.0000
S2 S 0.0000 0.5000 0.5000
S3 S 0.1727 0.5000 0.8588
S4 S 0.1837 0.5000 0.3209
```

Peak list (10 most intense, 2θ from 10° to 90°, most intense first)
31.46°, rel. 100, hkl 1 1 -2; 27.98°, rel. 60, hkl 3 1 0; 26.74°, rel. 47, hkl 2 0 2; 45.63°, rel. 35, hkl 5 1 2; 32.15°, rel. 30, hkl 6 0 0; 46.70°, rel. 21, hkl 0 2 0; 31.32°, rel. 20, hkl 6 0 -1; 43.45°, rel. 18, hkl 2 0 -4; 39.18°, rel. 17, hkl 5 1 1; 52.50°, rel. 16, hkl 1 1 4

***

Diffraction record for SrErAgS3. The XRD peak list is computed, not measured: it uses a structure optimized by DFT (GGA-PBE) and λ = 1.5418 Å (Cu Kα).
Neutral-atom scattering factors, no anomalous dispersion.

```
data_SrErAgS3
_chemical_formula_sum 'Sr4 Er4 Ag4 S12'
_space_group_name_H-M_alt 'C 1 2/m 1'
_space_group_IT_number 12
_cell_length_a 17.2469
_cell_length_b 3.9594
_cell_length_c 8.3661
_cell_angle_alpha 90.00
_cell_angle_beta 103.34
_cell_angle_gamma 90.00
loop_
_space_group_symop_operation_xyz
'x,y,z'
'-x,-y,-z'
'-x,y,-z'
'x,-y,z'
'x+1/2,y+1/2,z'
'-x+1/2,-y+1/2,-z'
'-x+1/2,y+1/2,-z'
'x+1/2,-y+1/2,z'
loop_
_atom_site_label
_atom_site_type_symbol
_atom_site_fract_x
_atom_site_fract_y
_atom_site_fract_z
Sr1 Sr 0.1334 0.0000 0.0714
Er1 Er 0.1649 0.0000 0.5867
Ag1 Ag 0.0215 0.5000 0.7115
S1 S 0.0000 0.0000 0.5000
S2 S 0.0000 0.5000 0.0000
S3 S 0.1726 0.5000 0.3639
S4 S 0.1812 0.5000 0.8179
```

Peak list (10 most intense, 2θ from 10° to 90°, most intense first)
31.10°, rel. 100, hkl 1 1 -2; 27.60°, rel. 61, hkl 3 1 0; 32.00°, rel. 37, hkl 6 0 0; 10.87°, rel. 32, hkl 0 0 1; 45.03°, rel. 28, hkl 5 1 2; 26.45°, rel. 28, hkl 2 0 2; 45.84°, rel. 21, hkl 0 2 0; 31.33°, rel. 21, hkl 6 0 -1; 43.26°, rel. 18, hkl 2 0 -4; 38.68°, rel. 17, hkl 5 1 1